Entry 1:
Diffraction record for Cs3CuTeS9. The powder diffraction line list is theoretical, not measured: it uses a cell relaxed with GGA-PBE and λ = 1.5418 Å (Cu Kα).
Peak positions follow from Bragg's law for the DFT cell and can differ from measured ones.

```
data_Cs3CuTeS9
_cell_length_a 21.8785
_cell_length_b 13.5446
_cell_length_c 12.3296
_cell_angle_alpha 90.00
_cell_angle_beta 90.00
_cell_angle_gamma 90.00
_space_group_name_H-M_alt 'C m c e'
_space_group_IT_number 64
_space_group_name_Hall '-C 2ac 2'
loop_
_atom_site_label
_atom_site_fract_x
_atom_site_fract_y
_atom_site_fract_z
Cs1 0.0000 0.0362 0.1660
Cs2 0.1503 0.2038 0.6762
Cu1 0.0682 0.0000 0.5000
Te1 0.0000 0.2313 0.4252
S1 0.0000 0.1179 0.5807
S2 0.0839 0.1635 0.9557
S3 0.1239 0.0591 0.3563
S4 0.2038 0.1282 0.4027
S5 0.2272 0.0240 0.0809
```

Top 12 peaks for 15° ≤ 2θ ≤ 90°, sorted by position:
- (3 1 2), 2θ = 19.97°, intensity 38
- (2 2 2), 2θ = 21.11°, intensity 26
- (6 0 0), 2θ = 24.41°, intensity 18
- (4 2 2), 2θ = 25.43°, intensity 22
- (3 1 3), 2θ = 25.74°, intensity 42
- (3 3 2), 2θ = 27.35°, intensity 100
- (5 3 1), 2θ = 29.33°, intensity 34
- (1 3 3), 2θ = 29.68°, intensity 34
- (1 1 4), 2θ = 30.01°, intensity 35
- (5 3 2), 2θ = 31.95°, intensity 23
- (10 2 2), 2θ = 46.00°, intensity 17
- (2 2 6), 2θ = 46.95°, intensity 18

=====

Entry 2:
Diffraction record for Na2Nd2PtO6. The powder diffraction line list is theoretical, not measured: it uses a cell relaxed with GGA-PBE and λ = 1.5418 Å (Cu Kα).
Peak positions follow from Bragg's law for the DFT cell and can differ from measured ones.

```
data_Na2Nd2PtO6
_cell_length_a 9.4461
_cell_length_b 9.3213
_cell_length_c 6.6796
_cell_angle_alpha 90.00
_cell_angle_beta 91.38
_cell_angle_gamma 90.00
_space_group_name_H-M_alt 'C 1 2 1'
_space_group_IT_number 5
loop_
_space_group_symop_operation_xyz
'x,y,z'
'-x,y,-z'
'x+1/2,y+1/2,z'
'-x+1/2,y+1/2,-z'
loop_
_atom_site_label
_atom_site_fract_x
_atom_site_fract_y
_atom_site_fract_z
Na1 0.0000 0.0000 0.0000
Na2 0.0000 0.4895 0.5000
Na3 0.1765 0.3172 0.1404
Nd1 0.0000 0.6236 0.0000
Nd2 0.0000 0.8572 0.5000
Nd3 0.1782 0.1817 0.6484
Pt1 0.2464 0.9994 0.2445
O1 0.0591 0.1014 0.3169
O2 0.0707 0.3916 0.8071
O3 0.1232 0.8181 0.1873
O4 0.1284 0.6707 0.6748
O5 0.2444 0.0638 0.9472
O6 0.2485 0.4322 0.4648
```

Top 12 peaks for 15° ≤ 2θ ≤ 90°, sorted by position:
- (2 0 0), 2θ = 18.73°, intensity 33
- (1 1 1), 2θ = 19.02°, intensity 100
- (3 1 0), 2θ = 29.95°, intensity 29
- (1 1 2), 2θ = 30.17°, intensity 25
- (2 2 1), 2θ = 30.29°, intensity 32
- (2 0 -2), 2θ = 32.47°, intensity 42
- (1 3 -1), 2θ = 33.09°, intensity 77
- (2 2 2), 2θ = 38.58°, intensity 17
- (4 2 0), 2θ = 42.92°, intensity 19
- (2 4 0), 2θ = 43.31°, intensity 33
- (5 1 1), 2θ = 51.57°, intensity 17
- (3 1 3), 2θ = 51.81°, intensity 25

=====

Entry 3:
Diffraction record for BaEuO3. The powder diffraction line list is theoretical, not measured: it uses a cell relaxed with GGA-PBE and λ = 1.5418 Å (Cu Kα).
Peak positions follow from Bragg's law for the DFT cell and can differ from measured ones.

```
data_BaEuO3
_cell_length_a 4.4373
_cell_length_b 4.4373
_cell_length_c 4.4373
_cell_angle_alpha 90.00
_cell_angle_beta 90.00
_cell_angle_gamma 90.00
_space_group_name_H-M_alt 'P m -3 m'
_space_group_IT_number 221
_space_group_name_Hall '-P 4 2 3'
loop_
_atom_site_label
_atom_site_fract_x
_atom_site_fract_y
_atom_site_fract_z
Ba1 0.0000 0.0000 0.0000
Eu1 0.5000 0.5000 0.5000
O1 0.0000 0.5000 0.5000
```

Top 10 peaks for 15° ≤ 2θ ≤ 90°, sorted by position:
- (1 0 0), 2θ = 20.01°, intensity 2
- (1 1 0), 2θ = 28.45°, intensity 100
- (2 0 0), 2θ = 40.67°, intensity 30
- (2 1 0), 2θ = 45.72°, intensity 1
- (2 1 1), 2θ = 50.37°, intensity 42
- (2 2 0), 2θ = 58.87°, intensity 19
- (3 1 0), 2θ = 66.65°, intensity 18
- (2 2 2), 2θ = 74.00°, intensity 6
- (3 2 1), 2θ = 81.09°, intensity 22
- (4 0 0), 2θ = 88.05°, intensity 3